NaMnNi2: simulated XRD peak list (copper Kα), based on the PBE geometry in Alexandria.
Lines closer than 0.1° are merged.

Crystal structure
```
data_NaMnNi2
_symmetry_space_group_name_H-M 'F m -3 m'
_symmetry_Int_Tables_number 225
_symmetry_space_group_name_Hall '-F 4 2 3'
_cell_length_a 6.0298
_cell_length_b 6.0298
_cell_length_c 6.0298
_cell_angle_alpha 90.00
_cell_angle_beta 90.00
_cell_angle_gamma 90.00
loop_
_atom_site_label
_atom_site_type_symbol
_atom_site_fract_x
_atom_site_fract_y
_atom_site_fract_z
_atom_site_occupancy
Na1 Na 0.0000 0.0000 0.0000 1
Mn1 Mn 0.0000 0.0000 0.5000 1
Ni1 Ni 0.2500 0.2500 0.2500 1
```

The 10 most intense peaks (10° ≤ 2θ ≤ 90°), by angle:
2theta	I/Imax	h k l
25.59	6	1 1 1
29.63	8	2 0 0
42.40	100	2 2 0
50.18	3	3 1 1
52.58	2	2 2 2
61.51	15	4 0 0
67.74	1	3 3 1
69.75	2	4 2 0
77.56	29	4 2 2
83.26	1	5 1 1

Na2Np2MnS6: simulated XRD peak list (copper Kα), based on the PBE geometry in Alexandria.
Lines closer than 0.1° are merged.

Crystal structure
```
data_Na2Np2MnS6
_symmetry_space_group_name_H-M 'C 1 2/m 1'
_symmetry_Int_Tables_number 12
_cell_length_a 6.6878
_cell_length_b 11.6401
_cell_length_c 7.0648
_cell_angle_alpha 90.00
_cell_angle_beta 107.80
_cell_angle_gamma 90.00
loop_
_symmetry_equiv_pos_as_xyz
'x,y,z'
'-x,-y,-z'
'-x,y,-z'
'x,-y,z'
'x+1/2,y+1/2,z'
'-x+1/2,-y+1/2,-z'
'-x+1/2,y+1/2,-z'
'x+1/2,-y+1/2,z'
loop_
_atom_site_label
_atom_site_type_symbol
_atom_site_fract_x
_atom_site_fract_y
_atom_site_fract_z
_atom_site_occupancy
Na1 Na 0.0000 0.1653 0.0000 1
Np1 Np 0.0000 0.3347 0.5000 1
Mn1 Mn 0.0000 0.0000 0.5000 1
S1 S 0.2322 0.1650 0.7154 1
S2 S 0.2453 0.0000 0.2886 1
```

The 12 most intense peaks (10° ≤ 2θ ≤ 90°), by angle:
2theta	I/Imax	h k l
13.16	100	0 0 1
17.71	15	1 1 -1
26.91	30	1 3 0
27.07	18	2 0 -1
28.05	26	2 0 0
31.96	57	1 3 1
32.27	26	2 0 -2
41.18	17	1 3 2
45.08	21	1 3 -3
47.01	19	3 3 -1
48.89	15	0 6 1
54.58	12	0 0 4